1.
# Al3Sn
Computed X-ray powder pattern, Cu Kα. Input: a structure optimized by DFT (PBE).
Intensities are scaled so that the largest is 100.

Crystal structure
Cell: 4.3268 4.3268 8.3557 Å, 90.00 90.00 90.00°
Space group I4/mmm (No. 139)
Unique sites:
Al 0.0000 0.0000 0.0000 [2 per cell]
Al 0.0000 0.5000 0.2500 [4 per cell]
Sn 0.0000 0.0000 0.5000 [2 per cell]

Principal peaks in the range 2θ = 10–90°, sorted by position:
2θ (°), I/Imax, index
21.27, 20, 0 0 2
23.15, 67, 1 0 1
29.19, 19, 1 1 0
36.40, 100, 1 1 2
38.44, 19, 1 0 3
41.75, 34, 2 0 0
43.31, 15, 0 0 4
48.28, 20, 2 1 1
61.73, 22, 2 0 4
72.72, 27, 3 1 2


2.
# Al2Sn
Computed X-ray powder pattern, Cu Kα. Input: a structure optimized by DFT (PBE).
Intensities are scaled so that the largest is 100.

Crystal structure
Cell: 6.7077 6.7077 6.7077 Å, 90.00 90.00 90.00°
Space group Fm-3m (No. 225)
Unique sites:
Al 0.2500 0.2500 0.2500 [8 per cell]
Sn 0.0000 0.0000 0.0000 [4 per cell]

Principal peaks in the range 2θ = 10–90°, sorted by position:
2θ (°), I/Imax, index
22.96, 100, 1 1 1
26.58, 15, 2 0 0
37.94, 87, 2 2 0
44.81, 53, 3 1 1
54.74, 15, 4 0 0
60.13, 23, 3 3 1
68.53, 32, 4 2 2
73.34, 17, 5 1 1
81.10, 10, 4 4 0
85.68, 18, 5 3 1